Entry 1:
The following is a computed powder diffractogram of Mn3CoH4. It was derived from a cell relaxed with GGA-PBE, using Cu Kα X-rays.

Principal peaks in the range 2θ from 5° to 70°, in order of rising 2θ:
| Position (°2θ) | Rel. int. |
| --- | --- |
| 41.6 | 100 |
| 47.3 | 18 |
| 49.0 | 32 |

Structural model:
```
Mn3CoH4
1.0
-1.860 1.860 3.843
1.860 -1.860 3.843
1.860 1.860 -3.843
Mn Co H
3 1 4
direct
0.000 0.000 0.000
0.250 0.750 0.500
0.750 0.250 0.500
0.500 0.500 0.000
0.000 0.500 0.500
0.267 0.267 0.000
0.500 0.000 0.500
0.733 0.733 0.000
```

Entry 2:
The following is a computed powder diffractogram of Ac12Hg5Ru2. It was derived from a cell relaxed with GGA-PBE, using Cu Kα X-rays.

Principal peaks in the range 2θ from 5° to 70°, in order of rising 2θ:
| Position (°2θ) | Rel. int. |
| --- | --- |
| 18.5 | 47 |
| 20.1 | 45 |
| 27.6 | 90 |
| 27.7 | 80 |
| 29.4 | 100 |
| 30.9 | 78 |
| 31.1 | 45 |
| 31.5 | 40 |
| 34.8 | 59 |
| 42.4 | 53 |

Structural model:
```
Ac12Hg5Ru2
1.0
9.109 -4.264 0.000
9.109 4.264 0.000
-3.143 0.000 9.812
Ac Hg Ru
12 5 2
direct
0.002 0.002 0.208
0.076 0.591 0.906
0.101 0.608 0.433
0.392 0.899 0.567
0.409 0.924 0.094
0.494 0.494 0.186
0.506 0.506 0.814
0.591 0.076 0.906
0.608 0.101 0.433
0.899 0.392 0.567
0.924 0.409 0.094
0.998 0.998 0.792
0.188 0.188 0.838
0.205 0.205 0.367
0.500 0.500 0.500
0.795 0.795 0.633
0.812 0.812 0.162
0.245 0.755 0.000
0.755 0.245 0.000
```

Entry 3:
The following is a computed powder diffractogram of Ca3AcHg2. It was derived from a cell relaxed with GGA-PBE, using Cu Kα X-rays.

Principal peaks in the range 2θ from 5° to 70°, in order of rising 2θ:
| Position (°2θ) | Rel. int. |
| --- | --- |
| 8.9 | 35 |
| 21.3 | 51 |
| 22.5 | 52 |
| 27.5 | 26 |
| 30.1 | 100 |
| 32.2 | 33 |
| 34.3 | 37 |
| 34.7 | 37 |
| 39.2 | 28 |
| 39.9 | 26 |

Structural model:
```
Ca3AcHg2
1.0
5.165 0.000 0.000
0.000 9.891 0.000
0.000 0.000 7.793
Ca Ac Hg
6 2 4
direct
0.000 0.075 0.000
0.000 0.307 0.381
0.000 0.693 0.881
0.000 0.925 0.500
0.500 0.178 0.679
0.500 0.822 0.179
0.500 0.431 0.058
0.500 0.569 0.558
0.000 0.370 0.782
0.000 0.630 0.282
0.500 0.130 0.274
0.500 0.870 0.774
```